Theoretical X-ray powder pattern
Compound: Tl3S
Radiation: Cu Kα (weighted mean of Kα1 and Kα2)
Structure: a crystal structure in the Materials Project, relaxed with GGA-PBE
Kinematic intensities with the Lorentz-polarization factor, no thermal factor.

a = 6.1239 Å, b = 6.1239 Å, c = 6.1239 Å
α = 134.85°, β = 134.85°, γ = 65.76°
Element x y z (fractional)
Tl  0.0000  0.0000  0.0000
Tl  0.2500  0.7500  0.5000
Tl  0.7500  0.2500  0.5000
S  0.5000  0.5000  0.0000

Main lines, sorted by position (2θ from 5° to 70°):
2θ/deg  I/Imax
17.24  74
20.77  194
32.06  1000
34.89  200
38.28  311
52.76  249
55.26  109
60.79  163
65.33  264
67.04  122